Record 1
Tb2Er5In5: theoretical powder X-ray diffraction pattern (CuKα), based on a cell relaxed with GGA-PBE.

Cell: 12.010 5.041 11.774 Å, 90.00 109.79 90.00°
Space group C2/m (No. 12)
Asymmetric unit:
Tb 0.075 0.000 0.258
Er 0.000 0.500 0.000
Er 0.131 0.500 0.776
Er 0.152 0.500 0.501
In 0.000 0.000 0.500
In 0.166 0.000 0.967
In 0.242 0.500 0.280

Main lines, by angle (2θ = 5–70°):
2θ 29.61, intensity 6.5, (3 1 0); 2θ 32.32, intensity 24.3, (0 0 4); 2θ 32.82, intensity 100.0, (3 1 -3); 2θ 35.62, intensity 24.5, (0 2 0); 2θ 45.30, intensity 6.9, (6 0 -2); 2θ 48.86, intensity 15.7, (0 2 4); 2θ 57.97, intensity 11.5, (3 1 -7); 2θ 58.92, intensity 6.2, (6 2 -2); 2θ 62.21, intensity 15.6, (3 3 -3); 2θ 68.82, intensity 6.3, (6 2 -6)

---

Record 2
Ba3UFeSe6: theoretical powder X-ray diffraction pattern (CuKα), based on a cell relaxed with GGA-PBE.

Cell: 12.6718 12.6718 13.8985 Å, 90.00 90.00 120.00°
Space group R-3c (No. 167, hexagonal axes)
Asymmetric unit:
Ba 0.0000 0.3831 0.2500
U 0.0000 0.0000 0.2500
Fe 0.0000 0.0000 0.0000
Se 0.0296 0.1817 0.3839

Main lines, by angle (2θ = 5–70°):
2θ 13.98, intensity 45.9, (1 1 0); 2θ 24.33, intensity 66.4, (3 0 0); 2θ 25.00, intensity 51.0, (1 2 2); 2θ 30.06, intensity 89.9, (1 3 1); 2θ 30.45, intensity 44.3, (0 2 4); 2θ 33.65, intensity 75.3, (2 1 4); 2θ 34.29, intensity 100.0, (2 2 3); 2θ 38.01, intensity 45.7, (2 3 2); 2θ 44.44, intensity 60.2, (3 2 4); 2θ 65.29, intensity 38.5, (3 5 4)

---

Record 3
Pr3Er4Tm: theoretical powder X-ray diffraction pattern (CuKα), based on a cell relaxed with GGA-PBE.

Cell: 11.442 7.319 6.288 Å, 90.00 90.00 90.00°
Space group Pmn2_1 (No. 31)
Asymmetric unit:
Pr 0.000 0.128 0.000
Pr 0.250 0.127 0.336
Er 0.000 0.379 0.500
Er 0.000 0.868 0.497
Er 0.248 0.620 0.335
Tm 0.000 0.620 0.001

Main lines, by angle (2θ = 5–70°):
2θ 28.22, intensity 23.1, (0 2 1); 2θ 28.39, intensity 12.2, (0 0 2); 2θ 31.27, intensity 36.2, (4 0 0); 2θ 32.34, intensity 100.0, (2 2 1); 2θ 32.49, intensity 48.4, (2 0 2); 2θ 42.62, intensity 15.2, (4 2 1); 2θ 50.16, intensity 19.4, (0 2 3); 2θ 56.37, intensity 30.8, (6 2 1); 2θ 60.30, intensity 22.3, (4 2 3); 2θ 60.77, intensity 16.0, (2 4 2)

---

Record 4
Sc8Se6S: theoretical powder X-ray diffraction pattern (CuKα), based on a cell relaxed with GGA-PBE.

Cell: 8.0125 8.0125 5.4795 Å, 90.00 90.00 120.00°
Space group P-31m (No. 162)
Asymmetric unit:
Sc 0.0000 0.2633 0.2610
Sc 0.3333 0.6667 0.0000
Se 0.0000 0.3883 0.7493
S 0.0000 0.0000 0.0000

Main lines, by angle (2θ = 5–70°):
2θ 22.19, intensity 32.3, (1 1 0); 2θ 27.58, intensity 44.4, (1 1 1); 2θ 32.69, intensity 39.9, (0 0 2); 2θ 38.04, intensity 100.0, (2 1 1); 2θ 38.94, intensity 62.9, (3 0 0); 2θ 39.86, intensity 68.5, (1 1 2); 2θ 48.38, intensity 11.6, (4 -2 1); 2θ 50.25, intensity 36.5, (4 -1 1); 2θ 51.72, intensity 18.1, (3 0 2); 2θ 61.91, intensity 21.9, (3 -1 3)

---

Record 5
Nd2Tc3C2: theoretical powder X-ray diffraction pattern (CuKα), based on a cell relaxed with GGA-PBE.

Cell: 10.566 3.071 7.727 Å, 90.00 116.85 90.00°
Space group C2/m (No. 12)
Asymmetric unit:
Nd 0.163 0.000 0.279
Tc 0.000 0.500 0.500
Tc 0.131 0.500 0.915
C 0.097 0.000 0.723

Main lines, by angle (2θ = 5–70°):
2θ 31.56, intensity 52.5, (1 1 -1); 2θ 34.20, intensity 71.4, (4 0 -1); 2θ 34.86, intensity 98.3, (2 0 -3); 2θ 35.03, intensity 100.0, (1 1 1); 2θ 37.48, intensity 38.8, (1 1 -2); 2θ 38.71, intensity 51.1, (2 0 2); 2θ 38.91, intensity 55.7, (3 1 -1); 2θ 41.15, intensity 71.3, (3 1 -2); 2θ 43.32, intensity 43.9, (1 1 2); 2θ 64.41, intensity 27.6, (5 1 1)

---

Record 6
HgIr2C: theoretical powder X-ray diffraction pattern (CuKα), based on a cell relaxed with GGA-PBE.

Cell: 6.456 6.456 5.965 Å, 90.00 90.00 90.00°
Space group I-42d (No. 122)
Asymmetric unit:
Hg 0.000 0.000 0.000
Ir 0.132 0.250 0.625
C 0.000 0.000 0.500

Main lines, by angle (2θ = 5–70°):
2θ 34.51, intensity 100.0, (2 1 1); 2θ 35.97, intensity 52.5, (1 1 2); 2θ 44.37, intensity 15.6, (3 1 0); 2θ 44.77, intensity 19.1, (3 0 1); 2θ 47.87, intensity 13.5, (1 0 3); 2θ 53.43, intensity 10.0, (3 2 1); 2θ 54.47, intensity 11.8, (3 1 2); 2θ 64.56, intensity 11.5, (4 2 0); 2θ 65.79, intensity 10.6, (4 0 2); 2θ 69.39, intensity 17.4, (2 0 4)

---

Record 7
HfSc3Ag2: theoretical powder X-ray diffraction pattern (CuKα), based on a cell relaxed with GGA-PBE.

Cell: 3.327 3.327 11.479 Å, 90.00 90.00 90.00°
Space group P4/mmm (No. 123)
Asymmetric unit:
Hf 0.000 0.000 0.000
Sc 0.500 0.500 0.184
Sc 0.500 0.500 0.500
Ag 0.000 0.000 0.344

Main lines, by angle (2θ = 5–70°):
2θ 23.25, intensity 19.0, (0 0 3); 2θ 26.80, intensity 26.9, (1 0 0); 2θ 35.77, intensity 100.0, (1 0 3); 2θ 38.26, intensity 42.8, (1 1 0); 2θ 45.25, intensity 13.6, (1 1 3); 2θ 47.52, intensity 9.8, (0 0 6); 2θ 55.22, intensity 14.1, (2 0 0); 2θ 55.40, intensity 7.5, (1 0 6); 2θ 62.58, intensity 16.6, (1 1 6); 2θ 67.55, intensity 29.0, (2 1 3)

---

- What is the formula in the third record?
  Pr3Er4Tm

---

Copy entry 5 word for word.
Nd2Tc3C2: theoretical powder X-ray diffraction pattern (CuKα), based on a cell relaxed with GGA-PBE.

Cell: 10.566 3.071 7.727 Å, 90.00 116.85 90.00°
Space group C2/m (No. 12)
Asymmetric unit:
Nd 0.163 0.000 0.279
Tc 0.000 0.500 0.500
Tc 0.131 0.500 0.915
C 0.097 0.000 0.723

Main lines, by angle (2θ = 5–70°):
2θ 31.56, intensity 52.5, (1 1 -1); 2θ 34.20, intensity 71.4, (4 0 -1); 2θ 34.86, intensity 98.3, (2 0 -3); 2θ 35.03, intensity 100.0, (1 1 1); 2θ 37.48, intensity 38.8, (1 1 -2); 2θ 38.71, intensity 51.1, (2 0 2); 2θ 38.91, intensity 55.7, (3 1 -1); 2θ 41.15, intensity 71.3, (3 1 -2); 2θ 43.32, intensity 43.9, (1 1 2); 2θ 64.41, intensity 27.6, (5 1 1)

---

Copy entry 1 word for word.
Tb2Er5In5: theoretical powder X-ray diffraction pattern (CuKα), based on a cell relaxed with GGA-PBE.

Cell: 12.010 5.041 11.774 Å, 90.00 109.79 90.00°
Space group C2/m (No. 12)
Asymmetric unit:
Tb 0.075 0.000 0.258
Er 0.000 0.500 0.000
Er 0.131 0.500 0.776
Er 0.152 0.500 0.501
In 0.000 0.000 0.500
In 0.166 0.000 0.967
In 0.242 0.500 0.280

Main lines, by angle (2θ = 5–70°):
2θ 29.61, intensity 6.5, (3 1 0); 2θ 32.32, intensity 24.3, (0 0 4); 2θ 32.82, intensity 100.0, (3 1 -3); 2θ 35.62, intensity 24.5, (0 2 0); 2θ 45.30, intensity 6.9, (6 0 -2); 2θ 48.86, intensity 15.7, (0 2 4); 2θ 57.97, intensity 11.5, (3 1 -7); 2θ 58.92, intensity 6.2, (6 2 -2); 2θ 62.21, intensity 15.6, (3 3 -3); 2θ 68.82, intensity 6.3, (6 2 -6)